Computed X-ray diffraction stick pattern of NdP2 for CuKα, from a cell relaxed with PBE.
Intensities are scaled so that the largest is 100.

Largest 10 diffraction maxima, sorted by position, 15 to 90 degrees two-theta:
22.63°, I 80, hkl 0 1 2
22.97°, I 32, hkl 1 0 0
25.20°, I 36, hkl 1 0 -2
27.11°, I 36, hkl 0 2 0
28.66°, I 84, hkl 1 1 -2
30.56°, I 31, hkl 0 1 3
35.38°, I 73, hkl 1 2 -1
35.89°, I 100, hkl 1 1 2
40.32°, I 36, hkl 1 1 -4
50.10°, I 30, hkl 0 3 3

Atomic structure:
```
data_NdP2
_chemical_formula_sum 'Nd4 P8'
_cell_length_a 4.019
_cell_length_b 6.579
_cell_length_c 10.171
_cell_angle_alpha 90.00
_cell_angle_beta 105.59
_cell_angle_gamma 90.00
_symmetry_space_group_name_H-M 'P 1 21/c 1'
_symmetry_Int_Tables_number 14
loop_
_symmetry_equiv_pos_as_xyz
'x,y,z'
'-x,-y,-z'
'-x,y+1/2,-z+1/2'
'x,-y+1/2,z+1/2'
loop_
_atom_site_label
_atom_site_type_symbol
_atom_site_fract_x
_atom_site_fract_y
_atom_site_fract_z
_atom_site_occupancy
Nd1 Nd 0.081 0.184 0.358 1
P1 P 0.302 0.621 0.454 1
P2 P 0.464 0.162 0.663 1
```

***

Computed X-ray diffraction stick pattern of PrNd4Pa3P8 for CuKα, from a cell relaxed with PBE.
Intensities are scaled so that the largest is 100.

Largest 10 diffraction maxima, sorted by position, 15 to 90 degrees two-theta:
26.71°, I 93, hkl 0 0 6
30.94°, I 100, hkl 0 2 4
44.32°, I 74, hkl 2 2 0
52.51°, I 47, hkl 0 2 10
55.03°, I 26, hkl 4 0 4
64.48°, I 12, hkl 0 4 8
71.09°, I 19, hkl 2 0 14
73.23°, I 33, hkl 2 4 4
81.59°, I 25, hkl 6 0 0
87.74°, I 15, hkl 0 0 18

Atomic structure:
```
data_PrNd4Pa3P8
_chemical_formula_sum 'Pr3 Nd12 Pa9 P24'
_cell_length_a 8.1721
_cell_length_b 8.1721
_cell_length_c 20.0357
_cell_angle_alpha 90.00
_cell_angle_beta 90.00
_cell_angle_gamma 120.00
_symmetry_space_group_name_H-M 'R -3 m'
_symmetry_Int_Tables_number 166
_symmetry_space_group_name_Hall '-R 3 2"'
loop_
_atom_site_label
_atom_site_type_symbol
_atom_site_fract_x
_atom_site_fract_y
_atom_site_fract_z
_atom_site_occupancy
Pr1 Pr 0.0000 0.0000 0.0000 1
Nd1 Nd 0.0000 0.0000 0.5000 1
Nd2 Nd 0.0000 0.5000 0.5000 1
Pa1 Pa 0.0000 0.5000 0.0000 1
P1 P 0.0000 0.0000 0.2554 1
P2 P 0.0103 0.5051 0.2543 1
```

***

Computed X-ray diffraction stick pattern of NdPaPS for CuKα, from a cell relaxed with PBE.
Intensities are scaled so that the largest is 100.

Largest 10 diffraction maxima, sorted by position, 15 to 90 degrees two-theta:
25.09°, I 38, hkl 0 0 6
26.62°, I 79, hkl 1 0 1
27.60°, I 41, hkl 0 1 2
31.27°, I 34, hkl 1 0 4
33.78°, I 100, hkl 0 1 5
39.80°, I 39, hkl 1 0 7
46.37°, I 47, hkl 1 1 0
50.61°, I 21, hkl 1 0 10
53.44°, I 31, hkl 1 1 6
71.78°, I 22, hkl 1 1 12

Atomic structure:
```
data_NdPaPS
_chemical_formula_sum 'Nd3 Pa3 P3 S3'
_cell_length_a 3.9160
_cell_length_b 3.9160
_cell_length_c 21.2987
_cell_angle_alpha 90.00
_cell_angle_beta 90.00
_cell_angle_gamma 120.00
_symmetry_space_group_name_H-M 'R 3 m'
_symmetry_Int_Tables_number 160
_symmetry_space_group_name_Hall 'R 3 -2"'
loop_
_atom_site_label
_atom_site_type_symbol
_atom_site_fract_x
_atom_site_fract_y
_atom_site_fract_z
_atom_site_occupancy
Nd1 Nd 0.0000 0.0000 0.0000 1
Pa1 Pa 0.0000 0.0000 0.1782 1
P1 P 0.0000 0.0000 0.5858 1
S1 S 0.0000 0.0000 0.7613 1
```

***

Computed X-ray diffraction stick pattern of Nd2PPd for CuKα, from a cell relaxed with PBE.
Intensities are scaled so that the largest is 100.

Largest 10 diffraction maxima, sorted by position, 15 to 90 degrees two-theta:
25.47°, I 47, hkl 1 0 1
26.46°, I 25, hkl 0 1 2
30.12°, I 46, hkl 1 0 4
32.62°, I 100, hkl 0 1 5
38.58°, I 44, hkl 1 0 7
44.27°, I 58, hkl 1 1 0
56.05°, I 21, hkl 2 0 5
60.14°, I 12, hkl 0 2 7
69.34°, I 26, hkl 1 1 12
74.07°, I 18, hkl 1 2 5

Atomic structure:
```
data_Nd2PPd
_chemical_formula_sum 'Nd6 P3 Pd3'
_cell_length_a 4.0924
_cell_length_b 4.0924
_cell_length_c 21.7071
_cell_angle_alpha 90.00
_cell_angle_beta 90.00
_cell_angle_gamma 120.00
_symmetry_space_group_name_H-M 'R 3 m'
_symmetry_Int_Tables_number 160
_symmetry_space_group_name_Hall 'R 3 -2"'
loop_
_atom_site_label
_atom_site_type_symbol
_atom_site_fract_x
_atom_site_fract_y
_atom_site_fract_z
_atom_site_occupancy
Nd1 Nd 0.0000 0.0000 0.0000 1
Nd2 Nd 0.0000 0.0000 0.1782 1
P1 P 0.0000 0.0000 0.5900 1
Pd1 Pd 0.0000 0.0000 0.7553 1
```

***

Computed X-ray diffraction stick pattern of Nd3P6Pd20 for CuKα, from a cell relaxed with PBE.
Intensities are scaled so that the largest is 100.

Largest 10 diffraction maxima, sorted by position, 15 to 90 degrees two-theta:
32.39°, I 24, hkl 4 2 0
35.58°, I 31, hkl 4 2 2
37.81°, I 100, hkl 3 3 3
41.31°, I 31, hkl 4 4 0
43.30°, I 24, hkl 5 3 1
48.87°, I 12, hkl 6 2 2
63.89°, I 29, hkl 6 6 0
65.37°, I 14, hkl 5 5 5
75.32°, I 18, hkl 8 4 4
76.70°, I 10, hkl 9 3 3

Atomic structure:
```
data_Nd3P6Pd20
_chemical_formula_sum 'Nd12 P24 Pd80'
_cell_length_a 12.363
_cell_length_b 12.363
_cell_length_c 12.363
_cell_angle_alpha 90.00
_cell_angle_beta 90.00
_cell_angle_gamma 90.00
_symmetry_space_group_name_H-M 'F m -3 m'
_symmetry_Int_Tables_number 225
_symmetry_space_group_name_Hall '-F 4 2 3'
loop_
_atom_site_label
_atom_site_type_symbol
_atom_site_fract_x
_atom_site_fract_y
_atom_site_fract_z
_atom_site_occupancy
Nd1 Nd 0.000 0.000 0.000 1
Nd2 Nd 0.250 0.250 0.250 1
P1 P 0.000 0.000 0.263 1
Pd1 Pd 0.000 0.173 0.173 1
Pd2 Pd 0.114 0.114 0.386 1
```

***

Computed X-ray diffraction stick pattern of NdP2Pd7 for CuKα, from a cell relaxed with PBE.
Intensities are scaled so that the largest is 100.

Largest 10 diffraction maxima, sorted by position, 15 to 90 degrees two-theta:
30.99°, I 22, hkl 1 1 0
32.27°, I 45, hkl 1 1 2
35.69°, I 37, hkl 0 0 8
35.87°, I 48, hkl 1 1 4
41.27°, I 100, hkl 1 1 6
44.39°, I 67, hkl 2 0 0
58.21°, I 36, hkl 2 0 8
64.58°, I 22, hkl 2 2 0
73.62°, I 21, hkl 1 1 14
79.58°, I 28, hkl 3 1 6

Atomic structure:
```
data_NdP2Pd7
_chemical_formula_sum 'Nd2 P4 Pd14'
_cell_length_a 4.081
_cell_length_b 4.081
_cell_length_c 20.124
_cell_angle_alpha 90.00
_cell_angle_beta 90.00
_cell_angle_gamma 90.00
_symmetry_space_group_name_H-M 'I 4/m m m'
_symmetry_Int_Tables_number 139
_symmetry_space_group_name_Hall '-I 4 2'
loop_
_atom_site_label
_atom_site_type_symbol
_atom_site_fract_x
_atom_site_fract_y
_atom_site_fract_z
_atom_site_occupancy
Nd1 Nd 0.000 0.000 0.000 1
P1 P 0.000 0.000 0.323 1
Pd1 Pd 0.000 0.000 0.500 1
Pd2 Pd 0.000 0.500 0.111 1
Pd3 Pd 0.000 0.500 0.250 1
```

***

Computed X-ray diffraction stick pattern of Nd2PPd4Pt2 for CuKα, from a cell relaxed with PBE.
Intensities are scaled so that the largest is 100.

Largest 10 diffraction maxima, sorted by position, 15 to 90 degrees two-theta:
19.99°, I 3, hkl 0 0 2
29.02°, I 6, hkl 2 0 0
35.49°, I 100, hkl 2 0 2
40.63°, I 19, hkl 0 0 4
41.51°, I 36, hkl 2 2 0
59.48°, I 24, hkl 2 2 4
60.15°, I 11, hkl 4 0 0
70.61°, I 13, hkl 2 0 6
71.83°, I 23, hkl 4 2 2
75.13°, I 11, hkl 4 0 4

Atomic structure:
```
data_Nd2PPd4Pt2
_chemical_formula_sum 'Nd4 P2 Pd8 Pt4'
_cell_length_a 6.153
_cell_length_b 6.153
_cell_length_c 8.882
_cell_angle_alpha 90.00
_cell_angle_beta 90.00
_cell_angle_gamma 90.00
_symmetry_space_group_name_H-M 'I 4/m m m'
_symmetry_Int_Tables_number 139
_symmetry_space_group_name_Hall '-I 4 2'
loop_
_atom_site_label
_atom_site_type_symbol
_atom_site_fract_x
_atom_site_fract_y
_atom_site_fract_z
_atom_site_occupancy
Nd1 Nd 0.000 0.500 0.250 1
P1 P 0.000 0.000 0.000 1
Pd1 Pd 0.230 0.230 0.500 1
Pt1 Pt 0.000 0.000 0.263 1
```

***

Computed X-ray diffraction stick pattern of NdSn2P2Pd7 for CuKα, from a cell relaxed with PBE.
Intensities are scaled so that the largest is 100.

Largest 10 diffraction maxima, sorted by position, 15 to 90 degrees two-theta:
28.61°, I 33, hkl 2 0 -1
33.67°, I 90, hkl 0 2 2
36.18°, I 59, hkl 2 0 3
38.59°, I 32, hkl 0 0 5
41.61°, I 29, hkl 2 0 -4
41.86°, I 100, hkl 2 2 1
43.33°, I 23, hkl 0 2 4
44.01°, I 39, hkl 2 2 -2
49.55°, I 23, hkl 0 2 5
64.02°, I 21, hkl 2 2 6

Atomic structure:
```
data_NdSn2P2Pd7
_chemical_formula_sum 'Nd2 Sn4 P4 Pd14'
_cell_length_a 6.472
_cell_length_b 5.982
_cell_length_c 11.665
_cell_angle_alpha 90.00
_cell_angle_beta 90.22
_cell_angle_gamma 90.00
_symmetry_space_group_name_H-M 'C 1 2/m 1'
_symmetry_Int_Tables_number 12
loop_
_symmetry_equiv_pos_as_xyz
'x,y,z'
'-x,-y,-z'
'-x,y,-z'
'x,-y,z'
'x+1/2,y+1/2,z'
'-x+1/2,-y+1/2,-z'
'-x+1/2,y+1/2,-z'
'x+1/2,-y+1/2,z'
loop_
_atom_site_label
_atom_site_type_symbol
_atom_site_fract_x
_atom_site_fract_y
_atom_site_fract_z
_atom_site_occupancy
Nd1 Nd 0.000 0.000 0.000 1
Sn1 Sn 0.160 0.000 0.606 1
P1 P 0.165 0.500 0.826 1
Pd1 Pd 0.000 0.500 0.000 1
Pd2 Pd 0.089 0.251 0.246 1
Pd3 Pd 0.148 0.500 0.595 1
```

***

Computed X-ray diffraction stick pattern of Pm4NdP5 for CuKα, from a cell relaxed with PBE.
Intensities are scaled so that the largest is 100.

Largest 10 diffraction maxima, sorted by position, 15 to 90 degrees two-theta:
26.37°, I 80, hkl 1 1 0
30.55°, I 100, hkl 1 0 5
43.74°, I 73, hkl 2 0 0
51.80°, I 40, hkl 2 1 5
54.29°, I 26, hkl 2 2 0
63.58°, I 12, hkl 2 0 10
70.06°, I 11, hkl 3 1 0
72.15°, I 22, hkl 3 0 5
72.22°, I 11, hkl 1 4 5
80.35°, I 21, hkl 3 2 5

Atomic structure:
```
data_Pm4NdP5
_chemical_formula_sum 'Pm8 Nd2 P10'
_cell_length_a 4.143
_cell_length_b 5.848
_cell_length_c 20.691
_cell_angle_alpha 90.00
_cell_angle_beta 90.00
_cell_angle_gamma 90.00
_symmetry_space_group_name_H-M 'I m m m'
_symmetry_Int_Tables_number 71
_symmetry_space_group_name_Hall '-I 2 2'
loop_
_atom_site_label
_atom_site_type_symbol
_atom_site_fract_x
_atom_site_fract_y
_atom_site_fract_z
_atom_site_occupancy
Pm1 Pm 0.000 0.000 0.100 1
Pm2 Pm 0.000 0.000 0.300 1
Nd1 Nd 0.000 0.000 0.500 1
P1 P 0.000 0.500 0.101 1
P2 P 0.000 0.500 0.300 1
P3 P 0.000 0.500 0.500 1
```

***

Computed X-ray diffraction stick pattern of Tb2PmNd3P6 for CuKα, from a cell relaxed with PBE.
Intensities are scaled so that the largest is 100.

Largest 10 diffraction maxima, sorted by position, 15 to 90 degrees two-theta:
26.52°, I 82, hkl 2 0 0
30.72°, I 100, hkl 1 3 1
44.00°, I 73, hkl 2 0 2
52.11°, I 41, hkl 1 3 3
54.62°, I 26, hkl 4 0 0
63.98°, I 12, hkl 2 6 2
70.52°, I 16, hkl 2 0 4
72.64°, I 33, hkl 4 6 0
80.90°, I 25, hkl 5 3 1
86.97°, I 13, hkl 0 0 6

Atomic structure:
```
data_Tb2PmNd3P6
_chemical_formula_sum 'Tb4 Pm2 Nd6 P12'
_cell_length_a 7.130
_cell_length_b 12.347
_cell_length_c 7.129
_cell_angle_alpha 90.00
_cell_angle_beta 109.45
_cell_angle_gamma 90.00
_symmetry_space_group_name_H-M 'C 1 2/m 1'
_symmetry_Int_Tables_number 12
loop_
_symmetry_equiv_pos_as_xyz
'x,y,z'
'-x,-y,-z'
'-x,y,-z'
'x,-y,z'
'x+1/2,y+1/2,z'
'-x+1/2,-y+1/2,-z'
'-x+1/2,y+1/2,-z'
'x+1/2,-y+1/2,z'
loop_
_atom_site_label
_atom_site_type_symbol
_atom_site_fract_x
_atom_site_fract_y
_atom_site_fract_z
_atom_site_occupancy
Tb1 Tb 0.000 0.167 0.000 1
Pm1 Pm 0.000 0.500 0.000 1
Nd1 Nd 0.000 0.000 0.500 1
Nd2 Nd 0.000 0.334 0.500 1
P1 P 0.244 0.000 0.243 1
P2 P 0.250 0.168 0.756 1
```

***

Computed X-ray diffraction stick pattern of PmNdTeP for CuKα, from a cell relaxed with PBE.
Intensities are scaled so that the largest is 100.

Largest 10 diffraction maxima, sorted by position, 15 to 90 degrees two-theta:
24.79°, I 38, hkl 1 0 1
25.74°, I 18, hkl 0 1 2
29.26°, I 55, hkl 1 0 4
31.66°, I 100, hkl 0 1 5
37.39°, I 24, hkl 1 0 7
43.07°, I 53, hkl 1 1 0
47.61°, I 16, hkl 1 0 10
54.43°, I 21, hkl 2 0 5
57.36°, I 19, hkl 1 1 9
71.80°, I 19, hkl 1 2 5

Atomic structure:
```
data_PmNdTeP
_chemical_formula_sum 'Pm3 Nd3 Te3 P3'
_cell_length_a 4.2008
_cell_length_b 4.2008
_cell_length_c 22.4389
_cell_angle_alpha 90.00
_cell_angle_beta 90.00
_cell_angle_gamma 120.00
_symmetry_space_group_name_H-M 'R 3 m'
_symmetry_Int_Tables_number 160
_symmetry_space_group_name_Hall 'R 3 -2"'
loop_
_atom_site_label
_atom_site_type_symbol
_atom_site_fract_x
_atom_site_fract_y
_atom_site_fract_z
_atom_site_occupancy
Pm1 Pm 0.0000 0.0000 0.0000 1
Nd1 Nd 0.0000 0.0000 0.1926 1
Te1 Te 0.0000 0.0000 0.4284 1
P1 P 0.0000 0.0000 0.5985 1
```

***

Computed X-ray diffraction stick pattern of PmNd2ZrP4 for CuKα, from a cell relaxed with PBE.
Intensities are scaled so that the largest is 100.

Largest 10 diffraction maxima, sorted by position, 15 to 90 degrees two-theta:
27.02°, I 74, hkl 0 0 2
31.29°, I 100, hkl 1 1 1
44.70°, I 12, hkl 2 0 2
44.88°, I 60, hkl 0 2 0
53.03°, I 12, hkl 1 1 3
53.19°, I 24, hkl 2 0 -4
55.61°, I 12, hkl 4 0 0
55.79°, I 13, hkl 2 2 -2
74.28°, I 16, hkl 1 3 1
82.83°, I 12, hkl 3 3 -1

Atomic structure:
```
data_PmNd2ZrP4
_chemical_formula_sum 'Pm1 Nd2 Zr1 P4'
_cell_length_a 6.998
_cell_length_b 4.036
_cell_length_c 7.004
_cell_angle_alpha 90.00
_cell_angle_beta 109.21
_cell_angle_gamma 90.00
_symmetry_space_group_name_H-M 'P 1 2/m 1'
_symmetry_Int_Tables_number 10
loop_
_symmetry_equiv_pos_as_xyz
'x,y,z'
'-x,-y,-z'
'-x,y,-z'
'x,-y,z'
loop_
_atom_site_label
_atom_site_type_symbol
_atom_site_fract_x
_atom_site_fract_y
_atom_site_fract_z
_atom_site_occupancy
Pm1 Pm 0.000 0.000 0.000 1
Nd1 Nd 0.000 0.500 0.500 1
Nd2 Nd 0.500 0.000 0.500 1
Zr1 Zr 0.500 0.500 0.000 1
P1 P 0.259 0.500 0.238 1
P2 P 0.267 0.000 0.769 1
```

***

Question: Which formula does entry 11 have?
Answer: PmNdTeP